# Dy4Mo6O19
Theoretical XRD peak list, CuKα. Input: a structure optimized by DFT (GGA+U).
Neutral-atom scattering factors, no anomalous dispersion.

Principal peaks in the range 10 to 90 degrees two-theta, sorted by position:
two_theta	I_rel
24.05	95
31.20	100
34.27	33
37.11	43
42.30	24
49.24	16
51.40	68
55.52	38
61.36	26
84.07	13

Cell and atoms:
```
Dy4Mo6O19
1.0
-4.5326 4.5326 4.5326
4.5326 -4.5326 4.5326
4.5326 4.5326 -4.5326
Dy Mo O
4 6 19
Cartesian
1.3132 1.3132 -1.3132 Dy
1.3132 -1.3132 1.3132 Dy
-1.3132 1.3132 1.3132 Dy
3.2195 3.2195 3.2195 Dy
4.5326 1.2817 0.0000 Mo
4.5326 0.0000 3.2509 Mo
3.2509 4.5326 0.0000 Mo
1.2817 0.0000 4.5326 Mo
0.0000 4.5326 1.2817 Mo
0.0000 3.2509 4.5326 Mo
0.0000 0.0000 0.0000 O
2.8905 0.0000 0.0000 O
6.1747 0.0000 0.0000 O
4.9300 -1.5170 1.9343 O
3.0156 2.5983 -0.3974 O
2.5983 -0.3974 3.0156 O
0.0000 2.8905 0.0000 O
0.0000 0.0000 2.8905 O
6.0496 2.5983 0.3974 O
1.9343 4.9300 -1.5170 O
4.1352 1.5170 1.9343 O
-0.3974 3.0156 2.5983 O
1.9343 4.1352 1.5170 O
1.5170 1.9343 4.1352 O
0.0000 6.1747 0.0000 O
0.0000 0.0000 6.1747 O
2.5983 0.3974 6.0496 O
-1.5170 1.9343 4.9300 O
0.3974 6.0496 2.5983 O
```